(1)
Computed X-ray diffraction stick pattern
Compound: MgV4O8
Radiation: copper Kα
Structure: DFT lattice parameters and positions (PBE+U)
Neutral-atom scattering factors, no anomalous dispersion.

Structure:
Unit cell a=2.9899 b=7.7367 c=7.9429 alpha=86.44 beta=79.49 gamma=82.76
Fractional coordinates of all 13 atoms:
Mg: 0.0000 0.0000 0.0000
V: 0.0926 0.6630 0.0339
V: 0.3042 0.9903 0.3454
V: 0.6211 0.9937 0.6743
V: 0.7489 0.3376 0.9527
O: 0.0096 0.1372 0.7804
O: 0.2189 0.8712 0.5609
O: 0.2551 0.4564 0.8600
O: 0.4043 0.1729 0.0811
O: 0.5867 0.8309 0.9172
O: 0.5995 0.5216 0.1181
O: 0.7042 0.1170 0.4253
O: 0.9508 0.8646 0.2234

The 6 most intense peaks (2θ from 10° to 90°), by angle:
| 2θ (°) | I_rel |
| --- | --- |
| 11.34 | 97 |
| 11.54 | 100 |
| 15.87 | 25 |
| 16.53 | 70 |
| 34.45 | 20 |
| 62.28 | 18 |

(2)
Computed X-ray diffraction stick pattern
Compound: BaNb2Fe4O12
Radiation: copper Kα
Structure: DFT lattice parameters and positions (PBE+U)
Neutral-atom scattering factors, no anomalous dispersion.

Structure:
Unit cell a=8.4483 b=8.4483 c=8.4483 alpha=106.28 beta=106.28 gamma=116.07
Fractional coordinates of all 38 atoms:
Ba: 0.2155 0.2155 0.0000
Ba: 0.7845 0.7845 0.0000
Nb: 0.1584 0.6424 0.8007
Nb: 0.3576 0.1584 0.5160
Nb: 0.6424 0.8416 0.4840
Nb: 0.8416 0.3576 0.1993
Fe: 0.0132 0.8383 0.5182
Fe: 0.1617 0.6799 0.1749
Fe: 0.3201 0.4950 0.4818
Fe: 0.4950 0.0132 0.1749
Fe: 0.5050 0.9868 0.8251
Fe: 0.6799 0.5050 0.5182
Fe: 0.8383 0.3201 0.8251
Fe: 0.9868 0.1617 0.4818
O: 0.1294 0.5000 0.2918
O: 0.1347 0.4897 0.9582
O: 0.1506 0.2001 0.3507
O: 0.1611 0.4522 0.6132
O: 0.1624 0.8706 0.3706
O: 0.1766 0.1347 0.6450
O: 0.2001 0.8494 0.0494
O: 0.2082 0.8376 0.7082
O: 0.4522 0.8389 0.2911
O: 0.4684 0.8234 0.9582
O: 0.4897 0.5316 0.3550
O: 0.5000 0.2082 0.3706
O: 0.5000 0.7918 0.6294
O: 0.5103 0.4684 0.6450
O: 0.5316 0.1766 0.0418
O: 0.5478 0.1611 0.7089
O: 0.7918 0.1624 0.2918
O: 0.7999 0.1506 0.9506
O: 0.8234 0.8653 0.3550
O: 0.8376 0.1294 0.6294
O: 0.8389 0.5478 0.3868
O: 0.8494 0.7999 0.6493
O: 0.8653 0.5103 0.0418
O: 0.8706 0.5000 0.7082

The 6 most intense peaks (2θ from 10° to 90°), by angle:
| 2θ (°) | I_rel |
| --- | --- |
| 23.44 | 28 |
| 27.83 | 100 |
| 36.05 | 59 |
| 47.96 | 29 |
| 57.94 | 34 |
| 66.92 | 22 |

(3)
Computed X-ray diffraction stick pattern
Compound: KV3Se2O12
Radiation: copper Kα
Structure: DFT lattice parameters and positions (PBE+U)
Neutral-atom scattering factors, no anomalous dispersion.

Structure:
Unit cell a=7.1586 b=7.1586 c=11.9322 alpha=90.00 beta=90.00 gamma=120.00
Fractional coordinates of all 36 atoms:
K: 0.3333 0.6667 0.0000
K: 0.6667 0.3333 0.5000
V: 0.1265 0.3331 0.3350
V: 0.2066 0.8735 0.3350
V: 0.3331 0.2066 0.8350
V: 0.6669 0.7934 0.3350
V: 0.7934 0.1265 0.8350
V: 0.8735 0.6669 0.8350
Se: 0.0000 0.0000 0.1170
Se: 0.0000 0.0000 0.6170
Se: 0.3333 0.6667 0.5564
Se: 0.6667 0.3333 0.0564
O: 0.0826 0.5416 0.3102
O: 0.1224 0.8681 0.1793
O: 0.1255 0.8734 0.8663
O: 0.1266 0.2522 0.8663
O: 0.1319 0.2543 0.1793
O: 0.1994 0.7866 0.4955
O: 0.2134 0.4129 0.4955
O: 0.2522 0.1255 0.3663
O: 0.2543 0.1224 0.6793
O: 0.4129 0.1994 0.9955
O: 0.4584 0.5411 0.3102
O: 0.4589 0.9174 0.3102
O: 0.5411 0.0826 0.8102
O: 0.5416 0.4589 0.8102
O: 0.5871 0.8006 0.4955
O: 0.7457 0.8776 0.1793
O: 0.7478 0.8745 0.8663
O: 0.7866 0.5871 0.9955
O: 0.8006 0.2134 0.9955
O: 0.8681 0.7457 0.6793
O: 0.8734 0.7478 0.3663
O: 0.8745 0.1266 0.3663
O: 0.8776 0.1319 0.6793
O: 0.9174 0.4584 0.8102

The 6 most intense peaks (2θ from 10° to 90°), by angle:
| 2θ (°) | I_rel |
| --- | --- |
| 16.11 | 51 |
| 20.66 | 26 |
| 29.09 | 100 |
| 29.78 | 32 |
| 33.33 | 32 |
| 51.03 | 26 |

(4)
Computed X-ray diffraction stick pattern
Compound: Ba5Co4PtClO13
Radiation: copper Kα
Structure: DFT lattice parameters and positions (PBE+U)
Neutral-atom scattering factors, no anomalous dispersion.

Structure:
Unit cell a=5.8267 b=5.8267 c=25.3445 alpha=90.00 beta=90.00 gamma=120.00
Fractional coordinates of all 48 atoms:
Ba: 0.0000 0.0000 0.2500
Ba: 0.0000 0.0000 0.7500
Ba: 0.3333 0.6667 0.0405
Ba: 0.3333 0.6667 0.4595
Ba: 0.3333 0.6667 0.6296
Ba: 0.3333 0.6667 0.8704
Ba: 0.6667 0.3333 0.1296
Ba: 0.6667 0.3333 0.3704
Ba: 0.6667 0.3333 0.5405
Ba: 0.6667 0.3333 0.9595
Co: 0.0000 0.0000 0.1069
Co: 0.0000 0.0000 0.3931
Co: 0.0000 0.0000 0.6069
Co: 0.0000 0.0000 0.8931
Co: 0.3333 0.6667 0.1779
Co: 0.3333 0.6667 0.3221
Co: 0.6667 0.3333 0.6779
Co: 0.6667 0.3333 0.8221
Pt: 0.0000 0.0000 0.0000
Pt: 0.0000 0.0000 0.5000
Cl: 0.3333 0.6667 0.7500
Cl: 0.6667 0.3333 0.2500
O: 0.1530 0.3060 0.5518
O: 0.1530 0.3060 0.9482
O: 0.1530 0.8470 0.5518
O: 0.1530 0.8470 0.9482
O: 0.1631 0.3262 0.1514
O: 0.1631 0.3262 0.3486
O: 0.1631 0.8369 0.1514
O: 0.1631 0.8369 0.3486
O: 0.3060 0.1530 0.0518
O: 0.3060 0.1530 0.4482
O: 0.3262 0.1631 0.6514
O: 0.3262 0.1631 0.8486
O: 0.3333 0.6667 0.2500
O: 0.6667 0.3333 0.7500
O: 0.6738 0.8369 0.1514
O: 0.6738 0.8369 0.3486
O: 0.6940 0.8470 0.5518
O: 0.6940 0.8470 0.9482
O: 0.8369 0.1631 0.6514
O: 0.8369 0.1631 0.8486
O: 0.8369 0.6738 0.6514
O: 0.8369 0.6738 0.8486
O: 0.8470 0.1530 0.0518
O: 0.8470 0.1530 0.4482
O: 0.8470 0.6940 0.0518
O: 0.8470 0.6940 0.4482

The 6 most intense peaks (2θ from 10° to 90°), by angle:
| 2θ (°) | I_rel |
| --- | --- |
| 22.53 | 22 |
| 24.90 | 19 |
| 30.38 | 38 |
| 30.69 | 100 |
| 39.91 | 19 |
| 54.56 | 19 |